The following is a computed powder XRD pattern of Hf6Si7Ni16. It was derived from a DFT-relaxed cell (PBE, the Materials Project), using λ = 1.5418 Å (Cu Kα).
Peak positions follow from Bragg's law for the DFT cell and can differ from measured ones.

Top 10 peaks for 15° ≤ 2θ ≤ 90°, in order of falling intensity:
| two_theta | Rel. int. |
| --- | --- |
| 41.12 | 100 |
| 44.95 | 73 |
| 27.08 | 50 |
| 38.67 | 30 |
| 69.98 | 23 |
| 88.71 | 22 |
| 62.55 | 20 |
| 47.84 | 17 |
| 34.27 | 16 |
| 84.51 | 15 |

Cell and atoms:
abc: 11.407 11.407 11.407
angles: 90.00 90.00 90.00
Space group Fm-3m (No. 225)
Asymmetric unit:
Hf (0.000, 0.000, 0.206) x24
Si (0.000, 0.000, 0.500) x4
Si (0.000, 0.250, 0.250) x24
Ni (0.118, 0.118, 0.382) x32
Ni (0.168, 0.168, 0.168) x32

The following is a computed powder XRD pattern of Hf4Si7Ni4. It was derived from a DFT-relaxed cell (PBE, the Materials Project), using λ = 1.5418 Å (Cu Kα).
Peak positions follow from Bragg's law for the DFT cell and can differ from measured ones.

Top 10 peaks for 15° ≤ 2θ ≤ 90°, in order of falling intensity:
| two_theta | Rel. int. |
| --- | --- |
| 39.22 | 100 |
| 41.77 | 48 |
| 30.57 | 36 |
| 33.67 | 28 |
| 66.37 | 26 |
| 65.78 | 23 |
| 27.16 | 22 |
| 39.65 | 22 |
| 42.16 | 22 |
| 35.14 | 14 |

Cell and atoms:
abc: 12.860 12.860 5.108
angles: 90.00 90.00 90.00
Space group I4/mmm (No. 139)
Asymmetric unit:
Hf (0.000, 0.195, 0.000) x8
Hf (0.136, 0.136, 0.500) x8
Si (0.000, 0.000, 0.250) x4
Si (0.000, 0.296, 0.500) x8
Si (0.000, 0.409, 0.000) x8
Si (0.209, 0.209, 0.000) x8
Ni (0.147, 0.353, 0.250) x16